Theoretical PXRD pattern of CsSO4 for λ = 1.5418 Å (Cu Kα), from a GGA-PBE-relaxed structure.
No peak broadening, texture or thermal motion is included.

Structure:
a = 5.712 Å, b = 5.712 Å, c = 8.326 Å
α = 109.96°, β = 109.96°, γ = 89.99°
Fractional positions:
1 Cs 0.125 0.875 0.750
2 Cs 0.875 0.125 0.250
3 S 0.377 0.623 0.250
4 S 0.623 0.377 0.750
5 O 0.221 0.682 0.367
6 O 0.318 0.352 0.133
7 O 0.318 0.779 0.133
8 O 0.352 0.318 0.633
9 O 0.648 0.682 0.367
10 O 0.682 0.221 0.867
11 O 0.682 0.648 0.867
12 O 0.779 0.318 0.633

Principal peaks in the range 2θ from 15° to 90°, low angle first:
| two_theta | I_rel |
| --- | --- |
| 16.67 | 16 |
| 24.42 | 26 |
| 25.21 | 100 |
| 31.32 | 25 |
| 35.68 | 14 |
| 39.87 | 18 |
| 40.11 | 24 |
| 52.17 | 20 |



Theoretical PXRD pattern of CsS3O6 for λ = 1.5418 Å (Cu Kα), from a GGA-PBE-relaxed structure.
No peak broadening, texture or thermal motion is included.

Structure:
a = 7.982 Å, b = 7.982 Å, c = 7.982 Å
α = 116.09°, β = 116.09°, γ = 116.09°
Fractional positions:
1 Cs 0.000 0.000 0.000
2 S 0.127 0.591 0.591
3 S 0.591 0.127 0.591
4 S 0.591 0.591 0.127
5 O 0.288 0.870 0.870
6 O 0.318 0.597 0.597
7 O 0.597 0.318 0.597
8 O 0.597 0.597 0.318
9 O 0.870 0.288 0.870
10 O 0.870 0.870 0.288

Principal peaks in the range 2θ from 15° to 90°, low angle first:
| two_theta | I_rel |
| --- | --- |
| 23.96 | 100 |
| 26.32 | 99 |
| 27.39 | 61 |
| 33.27 | 31 |
| 35.89 | 31 |
| 38.31 | 35 |
| 45.05 | 25 |
| 51.00 | 26 |



Theoretical PXRD pattern of Cs12SO4 for λ = 1.5418 Å (Cu Kα), from a GGA-PBE-relaxed structure.
No peak broadening, texture or thermal motion is included.

Structure:
a = 10.061 Å, b = 10.061 Å, c = 10.061 Å
α = 111.17°, β = 108.72°, γ = 108.55°
Fractional positions:
1 Cs 0.000 0.203 0.797
2 Cs 0.000 0.797 0.203
3 Cs 0.244 0.312 0.556
4 Cs 0.244 0.688 0.932
5 Cs 0.245 0.558 0.314
6 Cs 0.245 0.931 0.686
7 Cs 0.406 0.203 0.203
8 Cs 0.594 0.797 0.797
9 Cs 0.755 0.069 0.314
10 Cs 0.755 0.442 0.686
11 Cs 0.756 0.312 0.068
12 Cs 0.756 0.688 0.444
13 S 0.000 0.500 0.500
14 O 0.000 0.000 0.500
15 O 0.000 0.500 0.000
16 O 0.500 0.000 0.000
17 O 0.500 0.500 0.500

Principal peaks in the range 2θ from 15° to 90°, low angle first:
| two_theta | I_rel |
| --- | --- |
| 15.10 | 38 |
| 24.68 | 42 |
| 26.59 | 100 |
| 28.52 | 41 |
| 29.05 | 56 |
| 30.46 | 57 |
| 45.44 | 25 |
| 48.16 | 26 |



Theoretical PXRD pattern of CsScS2O8 for λ = 1.5418 Å (Cu Kα), from a GGA-PBE-relaxed structure.
No peak broadening, texture or thermal motion is included.

Structure:
a = 5.321 Å, b = 5.321 Å, c = 8.720 Å
α = 90.00°, β = 90.00°, γ = 120.00°
Fractional positions:
1 Cs 0.000 0.000 0.000
2 Sc 0.000 0.000 0.500
3 S 0.333 0.667 0.703
4 S 0.667 0.333 0.297
5 O 0.182 0.363 0.643
6 O 0.182 0.818 0.643
7 O 0.333 0.667 0.870
8 O 0.363 0.182 0.357
9 O 0.637 0.818 0.643
10 O 0.667 0.333 0.130
11 O 0.818 0.182 0.357
12 O 0.818 0.637 0.357

Principal peaks in the range 2θ from 15° to 90°, low angle first:
| two_theta | I_rel |
| --- | --- |
| 19.26 | 49 |
| 21.82 | 82 |
| 28.18 | 100 |
| 33.69 | 43 |
| 35.27 | 15 |
| 44.48 | 33 |
| 46.06 | 20 |
| 56.94 | 23 |



Theoretical PXRD pattern of CsSnS2O8 for λ = 1.5418 Å (Cu Kα), from a GGA-PBE-relaxed structure.
No peak broadening, texture or thermal motion is included.

Structure:
a = 7.742 Å, b = 7.742 Å, c = 7.742 Å
α = 42.03°, β = 42.03°, γ = 42.03°
Fractional positions:
1 Cs 0.000 0.000 0.000
2 Sn 0.500 0.500 0.500
3 S 0.214 0.214 0.214
4 S 0.786 0.786 0.786
5 O 0.054 0.614 0.614
6 O 0.145 0.145 0.145
7 O 0.386 0.386 0.946
8 O 0.386 0.946 0.386
9 O 0.614 0.054 0.614
10 O 0.614 0.614 0.054
11 O 0.855 0.855 0.855
12 O 0.946 0.386 0.386

Principal peaks in the range 2θ from 15° to 90°, low angle first:
| two_theta | I_rel |
| --- | --- |
| 20.29 | 39 |
| 25.03 | 100 |
| 32.24 | 60 |
| 38.39 | 19 |
| 38.89 | 25 |
| 41.40 | 47 |
| 50.98 | 14 |
| 53.29 | 20 |



Theoretical PXRD pattern of CsTaS2O8 for λ = 1.5418 Å (Cu Kα), from a GGA-PBE-relaxed structure.
No peak broadening, texture or thermal motion is included.

Structure:
a = 5.179 Å, b = 5.179 Å, c = 8.765 Å
α = 93.41°, β = 93.41°, γ = 62.67°
Fractional positions:
1 Cs 0.000 0.000 0.000
2 Ta 0.000 0.000 0.500
3 S 0.364 0.364 0.689
4 S 0.636 0.636 0.311
5 O 0.236 0.236 0.569
6 O 0.237 0.688 0.666
7 O 0.312 0.763 0.334
8 O 0.318 0.318 0.846
9 O 0.682 0.682 0.154
10 O 0.688 0.237 0.666
11 O 0.763 0.312 0.334
12 O 0.764 0.764 0.431

Principal peaks in the range 2θ from 15° to 90°, low angle first:
| two_theta | I_rel |
| --- | --- |
| 19.30 | 76 |
| 20.12 | 57 |
| 20.31 | 32 |
| 27.65 | 100 |
| 28.68 | 52 |
| 33.26 | 25 |
| 34.74 | 45 |
| 45.25 | 31 |



Theoretical PXRD pattern of CsTbS2O8 for λ = 1.5418 Å (Cu Kα), from a GGA-PBE-relaxed structure.
No peak broadening, texture or thermal motion is included.

Structure:
a = 5.450 Å, b = 5.450 Å, c = 8.878 Å
α = 90.00°, β = 90.00°, γ = 120.00°
Fractional positions:
1 Cs 0.000 0.000 0.000
2 Tb 0.000 0.000 0.500
3 S 0.333 0.667 0.714
4 S 0.667 0.333 0.286
5 O 0.137 0.376 0.654
6 O 0.239 0.863 0.654
7 O 0.333 0.667 0.878
8 O 0.376 0.239 0.346
9 O 0.624 0.761 0.654
10 O 0.667 0.333 0.122
11 O 0.761 0.137 0.346
12 O 0.863 0.624 0.346

Principal peaks in the range 2θ from 15° to 90°, low angle first:
| two_theta | I_rel |
| --- | --- |
| 18.80 | 68 |
| 21.32 | 26 |
| 27.58 | 100 |
| 32.87 | 39 |
| 38.77 | 23 |
| 43.42 | 32 |
| 45.14 | 22 |
| 55.51 | 26 |



Theoretical PXRD pattern of CsTeS2O8 for λ = 1.5418 Å (Cu Kα), from a GGA-PBE-relaxed structure.
No peak broadening, texture or thermal motion is included.

Structure:
a = 6.136 Å, b = 6.136 Å, c = 7.908 Å
α = 114.34°, β = 114.34°, γ = 52.04°
Fractional positions:
1 Cs 0.000 0.000 0.000
2 Te 0.500 0.500 0.500
3 S 0.200 0.200 0.661
4 S 0.800 0.800 0.339
5 O 0.094 0.641 0.293
6 O 0.166 0.166 0.461
7 O 0.344 0.344 0.797
8 O 0.359 0.906 0.707
9 O 0.641 0.094 0.293
10 O 0.656 0.656 0.203
11 O 0.834 0.834 0.539
12 O 0.906 0.359 0.707

Principal peaks in the range 2θ from 15° to 90°, low angle first:
| two_theta | I_rel |
| --- | --- |
| 18.10 | 29 |
| 20.22 | 31 |
| 23.43 | 82 |
| 24.94 | 100 |
| 29.42 | 88 |
| 33.28 | 27 |
| 38.97 | 33 |
| 39.10 | 31 |



Theoretical PXRD pattern of CsUS2O for λ = 1.5418 Å (Cu Kα), from a GGA-PBE-relaxed structure.
No peak broadening, texture or thermal motion is included.

Structure:
a = 8.215 Å, b = 4.121 Å, c = 9.345 Å
α = 90.00°, β = 106.73°, γ = 90.00°
Fractional positions:
1 Cs 0.195 0.250 0.314
2 Cs 0.805 0.750 0.686
3 U 0.322 0.250 0.833
4 U 0.678 0.750 0.167
5 S 0.337 0.750 0.037
6 S 0.345 0.750 0.657
7 S 0.655 0.250 0.343
8 S 0.663 0.250 0.963
9 O 0.085 0.250 0.777
10 O 0.915 0.750 0.223

Principal peaks in the range 2θ from 15° to 90°, low angle first:
| two_theta | I_rel |
| --- | --- |
| 19.82 | 63 |
| 22.60 | 33 |
| 24.38 | 61 |
| 25.54 | 28 |
| 27.26 | 23 |
| 29.45 | 100 |
| 46.13 | 31 |
| 48.62 | 27 |



Theoretical PXRD pattern of Cs3SbO4 for λ = 1.5418 Å (Cu Kα), from a GGA-PBE-relaxed structure.
No peak broadening, texture or thermal motion is included.

Structure:
a = 9.114 Å, b = 9.407 Å, c = 9.905 Å
α = 90.00°, β = 90.00°, γ = 90.00°
Fractional positions:
1 Cs 0.025 0.014 0.233
2 Cs 0.025 0.486 0.233
3 Cs 0.205 0.750 0.501
4 Cs 0.295 0.250 0.001
5 Cs 0.475 0.514 0.733
6 Cs 0.475 0.986 0.733
7 Cs 0.525 0.014 0.267
8 Cs 0.525 0.486 0.267
9 Cs 0.705 0.750 0.999
10 Cs 0.795 0.250 0.499
11 Cs 0.975 0.514 0.767
12 Cs 0.975 0.986 0.767
13 Sb 0.225 0.750 0.985
14 Sb 0.275 0.250 0.485
15 Sb 0.725 0.750 0.515
16 Sb 0.775 0.250 0.015
17 O 0.023 0.750 0.039
18 O 0.182 0.080 0.548
19 O 0.182 0.420 0.548
20 O 0.231 0.750 0.790
21 O 0.269 0.250 0.290
22 O 0.318 0.580 0.048
23 O 0.318 0.920 0.048
24 O 0.477 0.250 0.539
25 O 0.523 0.750 0.461
26 O 0.682 0.080 0.952
27 O 0.682 0.420 0.952
28 O 0.731 0.750 0.710
29 O 0.769 0.250 0.210
30 O 0.818 0.580 0.452
31 O 0.818 0.920 0.452
32 O 0.977 0.250 0.961

Principal peaks in the range 2θ from 15° to 90°, low angle first:
| two_theta | I_rel |
| --- | --- |
| 26.13 | 100 |
| 26.58 | 84 |
| 27.25 | 80 |
| 36.28 | 23 |
| 38.27 | 20 |
| 45.96 | 34 |
| 47.20 | 29 |
| 48.02 | 20 |